# 1
For Mg7Si4, a DFT-relaxed cell (PBE, the Materials Project) gives the computed XRD peak list in this record (CuKα).
No peak broadening, texture or thermal motion is included.

Lattice parameters (Å, degrees): 4.391 6.513 15.559 96.86 97.87 90.53
Fractional coordinates of all 22 atoms:
Mg: 0.000 0.000 0.000
Mg: 0.005 0.521 0.035
Mg: 0.096 0.074 0.216
Mg: 0.107 0.597 0.246
Mg: 0.197 0.965 0.410
Mg: 0.274 0.339 0.566
Mg: 0.287 0.853 0.597
Mg: 0.376 0.428 0.778
Mg: 0.383 0.946 0.813
Mg: 0.550 0.800 0.121
Mg: 0.556 0.305 0.131
Mg: 0.722 0.620 0.456
Mg: 0.828 0.634 0.678
Mg: 0.832 0.139 0.694
Si: 0.192 0.390 0.392
Si: 0.462 0.687 0.947
Si: 0.464 0.296 0.951
Si: 0.640 0.888 0.297
Si: 0.642 0.275 0.311
Si: 0.750 0.026 0.523
Si: 0.916 0.259 0.867
Si: 0.918 0.652 0.861

Principal peaks in the range 2θ = 10–90°, sorted by position:
Position (°2θ)  d/Å  intensity
11.57  7.649  31
34.56  2.595  43
34.75  2.582  61
34.89  2.572  35
35.02  2.562  66
37.95  2.371  45
38.25  2.353  84
38.36  2.346  78
38.60  2.332  39
41.12  2.195  100

=====

# 2
For Pb, a DFT-relaxed cell (PBE, the Materials Project) gives the computed XRD peak list in this record (CuKα).
No peak broadening, texture or thermal motion is included.

Lattice parameters (Å, degrees): 3.571 3.571 3.571 60.00 60.00 60.00
Fractional coordinates of all 1 atoms:
Pb: 0.000 0.000 0.000

Principal peaks in the range 2θ = 10–90°, sorted by position:
Position (°2θ)  d/Å  intensity
30.66  2.916  100
35.55  2.525  51
51.16  1.786  37
60.83  1.523  45
63.84  1.458  13
75.26  1.263  6
83.42  1.159  19
86.10  1.129  18

=====

# 3
For BaF3, a DFT-relaxed cell (PBE, the Materials Project) gives the computed XRD peak list in this record (CuKα).
No peak broadening, texture or thermal motion is included.

Lattice parameters (Å, degrees): 4.675 4.443 6.994 90.00 98.53 90.00
Fractional coordinates of all 8 atoms:
Ba: 0.209 0.250 0.289
Ba: 0.791 0.750 0.711
F: 0.104 0.250 0.888
F: 0.248 0.750 0.524
F: 0.491 0.750 0.165
F: 0.509 0.250 0.835
F: 0.752 0.250 0.476
F: 0.896 0.750 0.112

Principal peaks in the range 2θ = 10–90°, sorted by position:
Position (°2θ)  d/Å  intensity
21.48  4.137  74
23.80  3.738  100
24.70  3.605  66
25.76  3.458  44
27.85  3.203  96
32.82  2.729  49
36.21  2.481  45
40.29  2.238  51
40.61  2.221  44
44.22  2.048  36